# 1
Theoretical XRD peak list
Compound: NaAlSiO4
Radiation: copper Kα
Structure: a structure optimized by DFT (GGA-PBE)

Top 10 peaks for 15° ≤ 2θ ≤ 90°, by angle:
- 2θ = 20.75°, I = 100, hkl 1 1 1
- 2θ = 26.88°, I = 15, hkl 2 0 1
- 2θ = 29.50°, I = 13, hkl 2 1 1
- 2θ = 34.20°, I = 59, hkl 2 2 0
- 2θ = 45.78°, I = 20, hkl 3 1 2
- 2θ = 56.90°, I = 7, hkl 4 2 1
- 2θ = 61.23°, I = 19, hkl 4 2 2
- 2θ = 64.02°, I = 12, hkl 5 0 1
- 2θ = 69.41°, I = 7, hkl 5 2 1
- 2θ = 74.62°, I = 10, hkl 5 3 0

Crystal structure
```
data_NaAlSiO4
_cell_length_a 7.416
_cell_length_b 7.416
_cell_length_c 7.416
_cell_angle_alpha 90.00
_cell_angle_beta 90.00
_cell_angle_gamma 90.00
_symmetry_space_group_name_H-M 'P 21 3'
_symmetry_Int_Tables_number 198
_symmetry_space_group_name_Hall 'P 2ac 2ab 3'
loop_
_atom_site_label
_atom_site_fract_x
_atom_site_fract_y
_atom_site_fract_z
Na1 0.229 0.271 0.729
Al1 0.217 0.717 0.783
Si1 0.022 0.022 0.022
O1 0.030 0.629 0.664
O2 0.148 0.148 0.148
```

# 2
Theoretical XRD peak list
Compound: TiV3Tc
Radiation: copper Kα
Structure: a structure optimized by DFT (GGA-PBE)

Top 10 peaks for 15° ≤ 2θ ≤ 90°, by angle:
- 2θ = 34.55°, I = 16, hkl 1 1 1
- 2θ = 37.09°, I = 16, hkl 6 0 0
- 2θ = 40.61°, I = 58, hkl 4 0 -3
- 2θ = 42.26°, I = 100, hkl 5 1 -1
- 2θ = 43.08°, I = 98, hkl 1 1 2
- 2θ = 44.10°, I = 41, hkl 6 0 1
- 2θ = 62.36°, I = 16, hkl 0 2 0
- 2θ = 74.45°, I = 15, hkl 9 1 -4
- 2θ = 76.18°, I = 15, hkl 3 1 -5
- 2θ = 77.11°, I = 15, hkl 4 2 -3

Crystal structure
```
data_TiV3Tc
_cell_length_a 15.467
_cell_length_b 2.978
_cell_length_c 6.904
_cell_angle_alpha 90.00
_cell_angle_beta 109.90
_cell_angle_gamma 90.00
_symmetry_space_group_name_H-M 'C 1 2/m 1'
_symmetry_Int_Tables_number 12
loop_
_symmetry_equiv_pos_as_xyz
'x,y,z'
'-x,-y,-z'
'-x,y,-z'
'x,-y,z'
'x+1/2,y+1/2,z'
'-x+1/2,-y+1/2,-z'
'-x+1/2,y+1/2,-z'
'x+1/2,-y+1/2,z'
loop_
_atom_site_label
_atom_site_fract_x
_atom_site_fract_y
_atom_site_fract_z
Ti1 0.118 0.000 0.160
V1 0.054 0.000 0.721
V2 0.189 0.500 0.904
V3 0.228 0.000 0.628
Tc1 0.089 0.500 0.450
```

Number 2 is which compound? TiV3Tc